Entry 1:
Simulated powder X-ray diffraction pattern of PH6I3 for copper Kα, from the GGA-PBE geometry in Alexandria.
Neutral-atom scattering factors, no anomalous dispersion.

The 10 most intense peaks (10 to 80 degrees two-theta), sorted by position:
d 5.362, 2θ 16.5, I = 29.9
d 4.010, 2θ 22.2, I = 17.6
d 3.718, 2θ 23.9, I = 100.0
d 3.022, 2θ 29.6, I = 13.6
d 2.925, 2θ 30.6, I = 20.9
d 2.905, 2θ 30.8, I = 25.4
d 2.879, 2θ 31.1, I = 45.3
d 2.515, 2θ 35.7, I = 20.3
d 2.359, 2θ 38.2, I = 20.3
d 1.957, 2θ 46.4, I = 17.5

Atomic structure:
Lattice parameters (Å, degrees): 5.3773 6.0446 11.6625 90.00 94.86 90.00
Fractional positions:
P1 0.0000 0.0000 0.0000
P2 0.0000 0.5000 0.5000
H1 0.1123 0.0831 0.8859
H2 0.1123 0.4169 0.3859
H3 0.1538 0.1568 0.0778
H4 0.1538 0.3432 0.5778
H5 0.2032 0.6768 0.5110
H6 0.2032 0.8232 0.0110
H7 0.7968 0.1768 0.9890
H8 0.7968 0.3232 0.4890
H9 0.8462 0.6568 0.4222
H10 0.8462 0.8432 0.9222
H11 0.8877 0.5831 0.6141
H12 0.8877 0.9169 0.1141
I1 0.2463 0.0939 0.7259
I2 0.2463 0.4061 0.2259
I3 0.5000 0.0000 0.5000
I4 0.5000 0.5000 0.0000
I5 0.7537 0.5939 0.7741
I6 0.7537 0.9061 0.2741



Entry 2:
Simulated powder X-ray diffraction pattern of PH6I2 for copper Kα, from the GGA-PBE geometry in Alexandria.
Neutral-atom scattering factors, no anomalous dispersion.

The 10 most intense peaks (10 to 80 degrees two-theta), sorted by position:
d 8.489, 2θ 10.4, I = 46.6
d 3.882, 2θ 22.9, I = 100.0
d 3.133, 2θ 28.5, I = 28.0
d 3.096, 2θ 28.8, I = 15.4
d 2.899, 2θ 30.8, I = 40.3
d 2.830, 2θ 31.6, I = 17.7
d 2.636, 2θ 34.0, I = 16.1
d 2.280, 2θ 39.5, I = 14.4
d 2.017, 2θ 44.9, I = 15.1
d 1.759, 2θ 52.0, I = 14.2

Atomic structure:
Lattice parameters (Å, degrees): 4.2461 4.2461 8.5230 93.44 93.44 95.09
Fractional positions:
P1 0.0000 0.0000 0.0000
H1 0.0053 0.3703 0.9878
H2 0.0712 0.0712 0.1806
H3 0.3703 0.0053 0.9878
H4 0.6297 0.9947 0.0122
H5 0.9288 0.9288 0.8194
H6 0.9947 0.6297 0.0122
I1 0.3387 0.3387 0.3587
I2 0.6613 0.6613 0.6413



Entry 3:
Simulated powder X-ray diffraction pattern of PH4I for copper Kα, from the GGA-PBE geometry in Alexandria.
Neutral-atom scattering factors, no anomalous dispersion.

The 10 most intense peaks (10 to 80 degrees two-theta), sorted by position:
d 4.466, 2θ 19.9, I = 49.1
d 3.704, 2θ 24.0, I = 36.3
d 3.195, 2θ 27.9, I = 100.0
d 3.158, 2θ 28.3, I = 64.8
d 2.599, 2θ 34.5, I = 16.1
d 2.403, 2θ 37.4, I = 25.7
d 2.233, 2θ 40.4, I = 22.6
d 2.150, 2θ 42.0, I = 24.0
d 1.830, 2θ 49.8, I = 37.3
d 1.777, 2θ 51.4, I = 25.2

Atomic structure:
Lattice parameters (Å, degrees): 6.3160 6.3160 4.5732 90.00 90.00 90.00
Fractional positions:
P1 0.2500 0.7500 0.0000
P2 0.7500 0.2500 0.0000
H1 0.0676 0.7500 0.1821
H2 0.2500 0.5676 0.8179
H3 0.2500 0.9324 0.8179
H4 0.4324 0.7500 0.1821
H5 0.5676 0.2500 0.8179
H6 0.7500 0.0676 0.1821
H7 0.7500 0.4324 0.1821
H8 0.9324 0.2500 0.8179
I1 0.2500 0.2500 0.4056
I2 0.7500 0.7500 0.5944



Entry 4:
Simulated powder X-ray diffraction pattern of PH4I3 for copper Kα, from the GGA-PBE geometry in Alexandria.
Neutral-atom scattering factors, no anomalous dispersion.

The 10 most intense peaks (10 to 80 degrees two-theta), sorted by position:
d 5.797, 2θ 15.3, I = 31.5
d 3.596, 2θ 24.8, I = 39.7
d 3.215, 2θ 27.7, I = 100.0
d 2.779, 2θ 32.2, I = 16.8
d 2.646, 2θ 33.9, I = 15.9
d 2.199, 2θ 41.1, I = 17.2
d 2.131, 2θ 42.4, I = 17.2
d 1.994, 2θ 45.5, I = 25.1
d 1.797, 2θ 50.8, I = 10.5
d 1.617, 2θ 56.9, I = 11.2

Atomic structure:
Lattice parameters (Å, degrees): 7.1911 9.7944 5.2918 90.00 90.00 90.00
Fractional positions:
P1 0.0000 0.0000 0.0000
P2 0.5000 0.5000 0.5000
H1 0.0000 0.1163 0.1615
H2 0.0000 0.8837 0.1615
H3 0.1629 0.0000 0.8503
H4 0.3371 0.5000 0.3503
H5 0.5000 0.3837 0.6615
H6 0.5000 0.6163 0.6615
H7 0.6629 0.5000 0.3503
H8 0.8371 0.0000 0.8503
I1 0.0000 0.2882 0.5834
I2 0.0000 0.5000 0.0754
I3 0.0000 0.7118 0.5834
I4 0.5000 0.0000 0.5754
I5 0.5000 0.2118 0.0834
I6 0.5000 0.7882 0.0834



Entry 5:
Simulated powder X-ray diffraction pattern of PaH2I4 for copper Kα, from the GGA-PBE geometry in Alexandria.
Neutral-atom scattering factors, no anomalous dispersion.

The 10 most intense peaks (10 to 80 degrees two-theta), sorted by position:
d 6.941, 2θ 12.8, I = 43.9
d 6.863, 2θ 12.9, I = 100.0
d 4.410, 2θ 20.1, I = 37.9
d 3.472, 2θ 25.7, I = 64.5
d 3.463, 2θ 25.7, I = 79.3
d 3.262, 2θ 27.3, I = 42.4
d 2.618, 2θ 34.2, I = 38.5
d 2.603, 2θ 34.5, I = 49.9
d 2.314, 2θ 38.9, I = 47.5
d 2.042, 2θ 44.4, I = 26.9

Atomic structure:
Lattice parameters (Å, degrees): 15.8066 4.6575 8.0006 90.00 119.83 90.00
Fractional positions:
Pa1 0.0000 0.0000 0.0000
Pa2 0.5000 0.5000 0.0000
H1 0.1438 0.0000 0.2031
H2 0.3562 0.5000 0.7969
H3 0.6438 0.5000 0.2031
H4 0.8562 0.0000 0.7969
I1 0.0839 0.0000 0.4260
I2 0.1326 0.5000 0.0097
I3 0.3674 0.0000 0.9903
I4 0.4161 0.5000 0.5740
I5 0.5839 0.5000 0.4260
I6 0.6326 0.0000 0.0097
I7 0.8674 0.5000 0.9903
I8 0.9161 0.0000 0.5740



Entry 6:
Simulated powder X-ray diffraction pattern of PaH4I5 for copper Kα, from the GGA-PBE geometry in Alexandria.
Neutral-atom scattering factors, no anomalous dispersion.

The 10 most intense peaks (10 to 80 degrees two-theta), sorted by position:
d 8.259, 2θ 10.7, I = 62.0
d 6.804, 2θ 13.0, I = 59.8
d 5.607, 2θ 15.8, I = 42.3
d 5.425, 2θ 16.3, I = 51.0
d 4.922, 2θ 18.0, I = 100.0
d 3.632, 2θ 24.5, I = 33.9
d 3.437, 2θ 25.9, I = 36.0
d 3.112, 2θ 28.7, I = 35.5
d 3.079, 2θ 29.0, I = 30.8
d 2.989, 2θ 29.9, I = 54.0

Atomic structure:
Lattice parameters (Å, degrees): 6.0720 7.0590 8.7223 82.00 71.58 74.96
Fractional positions:
Pa1 0.0000 0.0000 0.0000
H1 0.1429 0.2300 0.9738
H2 0.6551 0.5564 0.9024
H3 0.8698 0.5122 0.2781
H4 0.9982 0.7208 0.9926
I1 0.2056 0.8961 0.6614
I2 0.5110 0.8796 0.0278
I3 0.7032 0.2695 0.2707
I4 0.7766 0.3686 0.7810
I5 0.9502 0.7079 0.3285



Entry 7:
Simulated powder X-ray diffraction pattern of HPbSI for copper Kα, from the GGA-PBE geometry in Alexandria.
Neutral-atom scattering factors, no anomalous dispersion.

The 10 most intense peaks (10 to 80 degrees two-theta), sorted by position:
d 6.748, 2θ 13.1, I = 64.0
d 3.992, 2θ 22.3, I = 72.0
d 3.173, 2θ 28.1, I = 100.0
d 2.871, 2θ 31.1, I = 38.5
d 2.351, 2θ 38.3, I = 46.3
d 2.220, 2θ 40.6, I = 25.6
d 2.149, 2θ 42.0, I = 29.0
d 1.889, 2θ 48.2, I = 22.7
d 1.625, 2θ 56.6, I = 17.5
d 1.473, 2θ 63.1, I = 20.3

Atomic structure:
Lattice parameters (Å, degrees): 8.1381 4.7062 7.2775 90.00 111.98 90.00
Fractional positions:
H1 0.0000 0.0000 0.0000
H2 0.5000 0.5000 0.0000
Pb1 0.2933 0.5000 0.3745
Pb2 0.7933 0.0000 0.3745
S1 0.0683 0.0000 0.2005
S2 0.5683 0.5000 0.2005
I1 0.0570 0.5000 0.6668
I2 0.5570 0.0000 0.6668



Entry 8:
Simulated powder X-ray diffraction pattern of HPdI2 for copper Kα, from the GGA-PBE geometry in Alexandria.
Neutral-atom scattering factors, no anomalous dispersion.

The 10 most intense peaks (10 to 80 degrees two-theta), sorted by position:
d 7.239, 2θ 12.2, I = 34.4
d 3.938, 2θ 22.6, I = 15.7
d 3.588, 2θ 24.8, I = 100.0
d 3.459, 2θ 25.8, I = 16.3
d 2.665, 2θ 33.6, I = 74.1
d 2.355, 2θ 38.2, I = 68.9
d 1.974, 2θ 46.0, I = 34.0
d 1.969, 2θ 46.1, I = 15.1
d 1.806, 2θ 50.5, I = 16.4
d 1.728, 2θ 53.0, I = 15.2

Atomic structure:
Lattice parameters (Å, degrees): 3.7036 14.4784 3.9376 90.00 90.18 90.00
Fractional positions:
H1 0.0000 0.0000 0.0000
H2 0.5000 0.5000 0.0000
Pd1 0.0000 0.5000 0.0000
Pd2 0.5000 0.0000 0.0000
I1 0.0000 0.3723 0.5000
I2 0.0000 0.6277 0.5000
I3 0.5000 0.1277 0.5000
I4 0.5000 0.8723 0.5000



Please write out number 3 again, unchanged.
Simulated powder X-ray diffraction pattern of PH4I for copper Kα, from the GGA-PBE geometry in Alexandria.
Neutral-atom scattering factors, no anomalous dispersion.

The 10 most intense peaks (10 to 80 degrees two-theta), sorted by position:
d 4.466, 2θ 19.9, I = 49.1
d 3.704, 2θ 24.0, I = 36.3
d 3.195, 2θ 27.9, I = 100.0
d 3.158, 2θ 28.3, I = 64.8
d 2.599, 2θ 34.5, I = 16.1
d 2.403, 2θ 37.4, I = 25.7
d 2.233, 2θ 40.4, I = 22.6
d 2.150, 2θ 42.0, I = 24.0
d 1.830, 2θ 49.8, I = 37.3
d 1.777, 2θ 51.4, I = 25.2

Atomic structure:
Lattice parameters (Å, degrees): 6.3160 6.3160 4.5732 90.00 90.00 90.00
Fractional positions:
P1 0.2500 0.7500 0.0000
P2 0.7500 0.2500 0.0000
H1 0.0676 0.7500 0.1821
H2 0.2500 0.5676 0.8179
H3 0.2500 0.9324 0.8179
H4 0.4324 0.7500 0.1821
H5 0.5676 0.2500 0.8179
H6 0.7500 0.0676 0.1821
H7 0.7500 0.4324 0.1821
H8 0.9324 0.2500 0.8179
I1 0.2500 0.2500 0.4056
I2 0.7500 0.7500 0.5944



Q: What is the formula in the third record?
A: PH4I